1.
Starting from DFT lattice parameters and positions (GGA-PBE), the PXRD pattern of Sc4FeB3 was simulated for Cu Kα (λ = 1.5418 Å).

Structure:
```
16
Lattice="3.2157 0.0000 0.0000 -1.6078 2.7849 0.0000 0.0000 0.0000 27.5280" Properties=species:S:1:pos:R:3 pbc="T T T"
Sc 0.0000 0.0000 4.8282
Sc 0.0000 0.0000 8.9358
Sc 0.0000 0.0000 18.5922
Sc 0.0000 0.0000 22.6998
Sc 0.0000 1.8566 1.6218
Sc 0.0000 1.8566 12.1421
Sc 1.6078 0.9283 15.3858
Sc 1.6078 0.9283 25.9061
Fe 0.0000 1.8566 6.8820
Fe 1.6078 0.9283 20.6460
B 0.0000 0.0000 0.0000
B 0.0000 0.0000 13.7640
B 0.0000 1.8566 17.0434
B 0.0000 1.8566 24.2485
B 1.6078 0.9283 3.2794
B 1.6078 0.9283 10.4845
```

The 10 most intense peaks (10 to 80 degrees two-theta), low angle first:
two_theta  intensity
25.89  12.5
32.31  33.4
32.53  15.9
32.81  15.8
36.15  89.4
37.79  100.0
46.38  12.9
48.93  30.7
57.31  44.0
70.70  13.1

---

2.
Starting from DFT lattice parameters and positions (GGA-PBE), the PXRD pattern of Sc2FeB2 was simulated for Cu Kα (λ = 1.5418 Å).

Structure:
```
5
Lattice="1.5623 -5.7873 0.0000 1.5623 5.7873 0.0000 0.0000 0.0000 3.3623" Properties=species:S:1:pos:R:3 pbc="T T T"
Sc 1.5623 4.3126 0.0000
Sc 1.5623 -4.3126 0.0000
Fe 1.5623 0.0000 1.6811
B 1.5623 2.4669 1.6811
B 1.5623 -2.4669 1.6811
```

The 10 most intense peaks (10 to 80 degrees two-theta), low angle first:
two_theta  intensity
15.31  27.7
30.75  15.0
37.02  54.1
40.16  100.0
41.16  73.6
48.97  29.3
54.59  15.9
67.80  15.8
74.58  21.4
76.36  13.8

---

3.
Starting from DFT lattice parameters and positions (GGA-PBE), the PXRD pattern of FeSi2B was simulated for Cu Kα (λ = 1.5418 Å).

Structure:
```
4
Lattice="0.0000 2.7630 2.7630 2.7630 0.0000 2.7630 2.7630 2.7630 0.0000" Properties=species:S:1:pos:R:3 pbc="T T T"
Fe 0.0000 0.0000 0.0000
Si 1.3815 1.3815 1.3815
Si 2.7630 2.7630 2.7630
B 4.1444 4.1444 4.1444
```

The 8 most intense peaks (10 to 80 degrees two-theta), low angle first:
two_theta  intensity
27.97  24.8
32.40  24.6
46.48  100.0
55.12  10.5
57.80  5.9
67.84  15.1
74.91  3.8
77.20  6.8